# BaV10O17
Computed powder XRD pattern, Cu Kα (λ = 1.5418 Å). Input: a structure optimized by DFT (GGA+U).
Peak positions follow from Bragg's law for the DFT cell and can differ from measured ones.

Most intense lines, 5 to 70 degrees two-theta, sorted by position:
two_theta	intensity	index
28.6	100	6 0 -2
29.2	94	6 0 -4
35.3	90	2 2 -3
41.0	84	6 2 -3
49.3	80	8 2 -5
55.6	64	4 2 -7

Structure:
a = 19.305 Å, b = 6.037 Å, c = 14.372 Å
α = 90.00°, β = 129.82°, γ = 90.00°
Space group C2/c (No. 15)
Asymmetric unit:
Ba: 0.000 0.119 0.250 (multiplicity 4)
V: 0.089 0.372 0.104 (multiplicity 8)
V: 0.091 0.370 0.914 (multiplicity 8)
V: 0.093 0.122 0.594 (multiplicity 8)
V: 0.229 0.377 0.881 (multiplicity 8)
V: 0.232 0.127 0.390 (multiplicity 8)
O: 0.000 0.373 0.750 (multiplicity 4)
O: 0.034 0.137 0.962 (multiplicity 8)
O: 0.041 0.388 0.463 (multiplicity 8)
O: 0.129 0.120 0.215 (multiplicity 8)
O: 0.143 0.370 0.722 (multiplicity 8)
O: 0.174 0.141 0.920 (multiplicity 8)
O: 0.175 0.393 0.419 (multiplicity 8)
O: 0.195 0.370 0.102 (multiplicity 8)
O: 0.203 0.124 0.610 (multiplicity 8)


# CoPO4
Computed powder XRD pattern, Cu Kα (λ = 1.5418 Å). Input: a structure optimized by DFT (GGA+U).
Peak positions follow from Bragg's law for the DFT cell and can differ from measured ones.

Most intense lines, 5 to 70 degrees two-theta, sorted by position:
two_theta	intensity	index
21.4	100	0 1 2
26.0	7	2 0 3
34.4	10	0 2 0
34.5	10	4 0 0
35.8	7	2 1 4
41.0	7	4 1 2

Structure:
a = 10.387 Å, b = 5.214 Å, c = 13.712 Å
α = 90.00°, β = 90.00°, γ = 90.00°
Space group Pca2_1 (No. 29)
Asymmetric unit:
Co: 0.040 0.069 0.000 (multiplicity 4)
Co: 0.222 0.553 0.248 (multiplicity 4)
P: 0.028 0.430 0.624 (multiplicity 4)
P: 0.213 0.050 0.376 (multiplicity 4)
O: 0.003 0.141 0.604 (multiplicity 4)
O: 0.015 0.412 0.034 (multiplicity 4)
O: 0.049 0.495 0.217 (multiplicity 4)
O: 0.068 0.006 0.396 (multiplicity 4)
O: 0.173 0.470 0.643 (multiplicity 4)
O: 0.208 0.973 0.967 (multiplicity 4)
O: 0.244 0.335 0.354 (multiplicity 4)
O: 0.249 0.891 0.284 (multiplicity 4)


# LiLa4NiO8
Computed powder XRD pattern, Cu Kα (λ = 1.5418 Å). Input: a structure optimized by DFT (GGA+U).
Peak positions follow from Bragg's law for the DFT cell and can differ from measured ones.

Most intense lines, 5 to 70 degrees two-theta, sorted by position:
two_theta	intensity	index
24.5	56	1 1 1
31.5	100	1 3 1
33.5	74	2 0 0
44.0	50	2 4 0
48.1	38	2 0 2
58.6	36	3 3 1

Structure:
a = 5.349 Å, b = 12.868 Å, c = 5.354 Å
α = 90.00°, β = 90.00°, γ = 90.00°
Space group Cmmm (No. 65)
Asymmetric unit:
Li: 0.000 0.000 0.000 (multiplicity 2)
La: 0.000 0.137 0.500 (multiplicity 4)
La: 0.000 0.362 0.000 (multiplicity 4)
Ni: 0.000 0.500 0.500 (multiplicity 2)
O: 0.000 0.180 0.000 (multiplicity 4)
O: 0.000 0.323 0.500 (multiplicity 4)
O: 0.246 0.500 0.257 (multiplicity 8)


# BaLiCoF6
Computed powder XRD pattern, Cu Kα (λ = 1.5418 Å). Input: a structure optimized by DFT (GGA+U).
Peak positions follow from Bragg's law for the DFT cell and can differ from measured ones.

Most intense lines, 5 to 70 degrees two-theta, sorted by position:
two_theta	intensity	index
17.9	45	1 1 0
20.9	39	1 1 1
27.1	66	0 2 2
27.3	66	1 1 -2
27.9	100	1 1 2
30.4	57	1 3 0

Structure:
a = 5.628 Å, b = 10.349 Å, c = 8.545 Å
α = 90.00°, β = 91.24°, γ = 90.00°
Space group P2_1/c (No. 14)
Asymmetric unit:
Ba: 0.184 0.201 0.003 (multiplicity 4)
Li: 0.267 0.573 0.809 (multiplicity 4)
Co: 0.277 0.581 0.233 (multiplicity 4)
F: 0.016 0.005 0.182 (multiplicity 4)
F: 0.122 0.745 0.752 (multiplicity 4)
F: 0.175 0.591 0.026 (multiplicity 4)
F: 0.366 0.602 0.444 (multiplicity 4)
F: 0.391 0.099 0.716 (multiplicity 4)
F: 0.398 0.130 0.317 (multiplicity 4)